Diffraction record for Hf5Ge5Ru. The PXRD pattern is computed, not measured: it uses a cell relaxed with GGA-PBE and Cu Kα X-rays.
Neutral-atom scattering factors, no anomalous dispersion.

Principal peaks in the range 2θ = 5–70°, by angle:
| 2θ (°) | I (rel.) |
| --- | --- |
| 27.42 | 64 |
| 31.53 | 45 |
| 33.47 | 100 |
| 34.22 | 94 |
| 35.02 | 81 |
| 44.24 | 42 |
| 48.62 | 70 |
| 49.22 | 62 |

```
11
Lattice="5.4654 -2.6771 0.0000 5.4654 2.6771 0.0000 -3.2412 0.0000 7.5227" Properties=species:S:1:pos:R:3 pbc="T T T"
Hf 0.0000 0.0000 0.0000
Hf 3.0977 0.0000 1.1553
Hf 1.5402 0.0000 5.1971
Hf 6.1494 0.0000 2.3255
Hf 4.5918 0.0000 6.3673
Ge -0.9529 0.0000 6.1514
Ge 0.7208 0.0000 2.6314
Ge 3.8448 0.0000 3.7613
Ge 6.9688 0.0000 4.8912
Ge 8.6424 0.0000 1.3713
Ru -1.6206 0.0000 3.7613
```